Structure and theoretical powder X-ray diffraction pattern of Li2Ag8Ge (a crystal structure in Alexandria, relaxed with GGA-PBE; Cu Kα X-rays).

Cell lengths 7.373, 7.373, 6.621 Å; angles 108.83, 108.83, 34.04 degrees
Positions (direct):
1 Li 0.223 0.223 0.145
2 Li 0.777 0.777 0.855
3 Ag 0.045 0.045 0.225
4 Ag 0.144 0.144 0.696
5 Ag 0.320 0.320 0.584
6 Ag 0.403 0.403 0.046
7 Ag 0.597 0.597 0.954
8 Ag 0.680 0.680 0.416
9 Ag 0.856 0.856 0.304
10 Ag 0.955 0.955 0.775
11 Ge 0.500 0.500 0.500

The 12 most intense peaks (10° ≤ 2θ ≤ 80°), in order of falling intensity:
38.03 deg, d = 2.366 Å, I 100; 38.24 deg, d = 2.353 Å, I 98; 41.86 deg, d = 2.158 Å, I 38; 42.86 deg, d = 2.110 Å, I 35; 48.07 deg, d = 1.893 Å, I 27; 61.46 deg, d = 1.509 Å, I 24; 65.60 deg, d = 1.423 Å, I 18; 73.91 deg, d = 1.282 Å, I 13; 74.04 deg, d = 1.280 Å, I 13; 13.34 deg, d = 6.636 Å, I 12; 24.70 deg, d = 3.605 Å, I 12; 75.17 deg, d = 1.264 Å, I 12